(1)
Diffraction record for MgBi2O4. The powder diffraction line list is computed, not measured: it uses a DFT-relaxed cell (PBE, the Materials Project) and Cu Kα.
Kinematic intensities with the Lorentz-polarization factor, no thermal factor.

Structural model:
Cell: 6.8907 6.8907 16.3626 Å, 90.00 90.00 120.00°
Fractional coordinates of all 42 atoms:
1 Mg 0.0000 0.0000 0.0000
2 Mg 0.0000 0.0000 0.2479
3 Mg 0.0000 0.0000 0.6233
4 Mg 0.3333 0.6667 0.5837
5 Mg 0.6667 0.3333 0.2935
6 Mg 0.6667 0.3333 0.9179
7 Bi 0.1653 0.3305 0.7915
8 Bi 0.1653 0.8347 0.7915
9 Bi 0.3282 0.1641 0.4599
10 Bi 0.3333 0.6667 0.3432
11 Bi 0.3333 0.6667 0.9606
12 Bi 0.5038 0.0077 0.1291
13 Bi 0.5038 0.4962 0.1291
14 Bi 0.6667 0.3333 0.6751
15 Bi 0.6695 0.8347 0.7915
16 Bi 0.8359 0.1641 0.4599
17 Bi 0.8359 0.6718 0.4599
18 Bi 0.9923 0.4962 0.1291
19 O 0.0000 0.0000 0.3738
20 O 0.0000 0.0000 0.8744
21 O 0.1618 0.3236 0.5444
22 O 0.1618 0.8382 0.5444
23 O 0.1661 0.3321 0.0405
24 O 0.1661 0.8339 0.0405
25 O 0.2873 0.1436 0.7014
26 O 0.3333 0.6667 0.2114
27 O 0.3333 0.6667 0.7074
28 O 0.3518 0.1759 0.2131
29 O 0.5059 0.0118 0.8728
30 O 0.5059 0.4941 0.8728
31 O 0.5218 0.0437 0.3703
32 O 0.5218 0.4782 0.3703
33 O 0.6667 0.3333 0.0458
34 O 0.6667 0.3333 0.5425
35 O 0.6679 0.8339 0.0405
36 O 0.6764 0.8382 0.5444
37 O 0.8241 0.1759 0.2131
38 O 0.8241 0.6482 0.2131
39 O 0.8564 0.1436 0.7014
40 O 0.8564 0.7127 0.7014
41 O 0.9563 0.4782 0.3703
42 O 0.9882 0.4941 0.8728

Principal peaks in the range 15 to 90 degrees two-theta, by angle:
- 5.606 Å, I = 44
- 5.454 Å, I = 59
- 2.935 Å, I = 100
- 2.913 Å, I = 73
- 2.803 Å, I = 73
- 2.411 Å, I = 57
- 1.723 Å, I = 46
- 1.687 Å, I = 43

***

(2)
Diffraction record for CeSe2. The powder diffraction line list is computed, not measured: it uses a DFT-relaxed cell (PBE, the Materials Project) and Cu Kα.
Kinematic intensities with the Lorentz-polarization factor, no thermal factor.

Structural model:
Cell: 7.6095 13.5758 15.5327 Å, 90.00 90.00 90.00°
Fractional coordinates of all 24 atoms:
1 Ce 0.0444 0.0897 0.1540
2 Ce 0.0444 0.4103 0.3460
3 Ce 0.4556 0.0897 0.3460
4 Ce 0.4556 0.4103 0.1540
5 Ce 0.5444 0.5897 0.8460
6 Ce 0.5444 0.9103 0.6540
7 Ce 0.9556 0.5897 0.6540
8 Ce 0.9556 0.9103 0.8460
9 Se 0.0000 0.0000 0.0000
10 Se 0.0000 0.5000 0.5000
11 Se 0.2500 0.2500 0.1239
12 Se 0.2500 0.2500 0.3761
13 Se 0.2500 0.5297 0.2500
14 Se 0.2500 0.6184 0.7500
15 Se 0.2500 0.8816 0.7500
16 Se 0.2500 0.9703 0.2500
17 Se 0.5000 0.0000 0.5000
18 Se 0.5000 0.5000 0.0000
19 Se 0.7500 0.0297 0.7500
20 Se 0.7500 0.1184 0.2500
21 Se 0.7500 0.3816 0.2500
22 Se 0.7500 0.4703 0.7500
23 Se 0.7500 0.7500 0.6239
24 Se 0.7500 0.7500 0.8761

Principal peaks in the range 15 to 90 degrees two-theta, by angle:
- 4.345 Å, I = 38
- 4.243 Å, I = 100
- 4.083 Å, I = 35
- 3.352 Å, I = 35
- 2.862 Å, I = 37
- 2.293 Å, I = 41
- 2.140 Å, I = 36
- 2.123 Å, I = 55

***

(3)
Diffraction record for EuAlO3. The powder diffraction line list is computed, not measured: it uses a DFT-relaxed cell (PBE, the Materials Project) and Cu Kα.
Kinematic intensities with the Lorentz-polarization factor, no thermal factor.

Structural model:
Cell: 3.7682 3.7682 3.7682 Å, 90.00 90.00 90.00°
Fractional coordinates of all 5 atoms:
1 Eu 0.0000 0.0000 0.0000
2 Al 0.5000 0.5000 0.5000
3 O 0.0000 0.5000 0.5000
4 O 0.5000 0.0000 0.5000
5 O 0.5000 0.5000 0.0000

Principal peaks in the range 15 to 90 degrees two-theta, by angle:
- 3.768 Å, I = 52
- 2.664 Å, I = 100
- 2.176 Å, I = 42
- 1.884 Å, I = 34
- 1.685 Å, I = 24
- 1.538 Å, I = 39
- 1.332 Å, I = 20
- 1.192 Å, I = 17

***

(4)
Diffraction record for Li2CeO3. The powder diffraction line list is computed, not measured: it uses a DFT-relaxed cell (PBE, the Materials Project) and Cu Kα.
Kinematic intensities with the Lorentz-polarization factor, no thermal factor.

Structural model:
Cell: 5.5647 5.5647 5.9495 Å, 102.03 102.03 117.99°
Fractional coordinates of all 12 atoms:
1 Li 0.0711 0.9289 0.7500
2 Li 0.2332 0.7668 0.2500
3 Li 0.7668 0.2332 0.7500
4 Li 0.9289 0.0711 0.2500
5 Ce 0.4100 0.5900 0.7500
6 Ce 0.5900 0.4100 0.2500
7 O 0.0000 0.5000 0.5000
8 O 0.1869 0.3396 0.9765
9 O 0.3396 0.1869 0.4765
10 O 0.5000 0.0000 0.0000
11 O 0.6604 0.8131 0.5235
12 O 0.8131 0.6604 0.0235

Principal peaks in the range 15 to 90 degrees two-theta, by angle:
- 4.595 Å, I = 100
- 4.352 Å, I = 36
- 3.587 Å, I = 67
- 2.820 Å, I = 23
- 2.666 Å, I = 18
- 2.448 Å, I = 48
- 2.251 Å, I = 45
- 1.680 Å, I = 16

***

(5)
Diffraction record for Nb5V5Si6. The powder diffraction line list is computed, not measured: it uses a DFT-relaxed cell (PBE, the Materials Project) and Cu Kα.
Kinematic intensities with the Lorentz-polarization factor, no thermal factor.

Structural model:
Cell: 5.2309 7.4175 7.4175 Å, 121.31 90.00 90.00°
Fractional coordinates of all 16 atoms:
1 Nb 0.0000 0.0000 0.0000
2 Nb 0.2516 0.1104 0.4397
3 Nb 0.2516 0.4397 0.1104
4 Nb 0.7484 0.1104 0.4397
5 Nb 0.7484 0.4397 0.1104
6 V 0.0000 0.5246 0.7796
7 V 0.0000 0.7796 0.5246
8 V 0.5000 0.0411 0.7735
9 V 0.5000 0.5292 0.5292
10 V 0.5000 0.7735 0.0411
11 Si 0.0000 0.1663 0.7701
12 Si 0.0000 0.3964 0.3964
13 Si 0.0000 0.7701 0.1663
14 Si 0.5000 0.1535 0.1535
15 Si 0.5000 0.3962 0.7773
16 Si 0.5000 0.7773 0.3962

Principal peaks in the range 15 to 90 degrees two-theta, by angle:
- 3.708 Å, I = 34
- 3.169 Å, I = 33
- 2.417 Å, I = 68
- 2.155 Å, I = 39
- 2.137 Å, I = 100
- 2.123 Å, I = 60
- 2.112 Å, I = 53
- 1.512 Å, I = 34

***

(6)
Diffraction record for RbNb4Cl11. The powder diffraction line list is computed, not measured: it uses a DFT-relaxed cell (PBE, the Materials Project) and Cu Kα.
Kinematic intensities with the Lorentz-polarization factor, no thermal factor.

Structural model:
Cell: 16.3012 7.0330 6.9972 Å, 90.00 90.00 90.00°
Fractional coordinates of all 32 atoms:
1 Rb 0.2500 0.0000 0.0139
2 Rb 0.7500 0.0000 0.9861
3 Nb 0.0000 0.2857 0.5000
4 Nb 0.0000 0.7143 0.5000
5 Nb 0.1413 0.5000 0.6175
6 Nb 0.3587 0.5000 0.6175
7 Nb 0.5000 0.2857 0.5000
8 Nb 0.5000 0.7143 0.5000
9 Nb 0.6413 0.5000 0.3825
10 Nb 0.8587 0.5000 0.3825
11 Cl 0.0789 0.2490 0.8074
12 Cl 0.0789 0.7510 0.8074
13 Cl 0.0825 0.0000 0.3641
14 Cl 0.0848 0.5000 0.2921
15 Cl 0.2500 0.2691 0.4825
16 Cl 0.2500 0.5000 0.8958
17 Cl 0.2500 0.7309 0.4825
18 Cl 0.4152 0.5000 0.2921
19 Cl 0.4175 0.0000 0.3641
20 Cl 0.4211 0.2490 0.8074
21 Cl 0.4211 0.7510 0.8074
22 Cl 0.5789 0.2490 0.1926
23 Cl 0.5789 0.7510 0.1926
24 Cl 0.5825 0.0000 0.6359
25 Cl 0.5848 0.5000 0.7079
26 Cl 0.7500 0.2691 0.5175
27 Cl 0.7500 0.5000 0.1042
28 Cl 0.7500 0.7309 0.5175
29 Cl 0.9152 0.5000 0.7079
30 Cl 0.9175 0.0000 0.6359
31 Cl 0.9211 0.2490 0.1926
32 Cl 0.9211 0.7510 0.1926

Principal peaks in the range 15 to 90 degrees two-theta, by angle:
- 5.310 Å, I = 55
- 4.960 Å, I = 50
- 4.746 Å, I = 27
- 2.720 Å, I = 30
- 2.655 Å, I = 37
- 2.488 Å, I = 100
- 2.261 Å, I = 27
- 1.944 Å, I = 44

***

(7)
Diffraction record for TbInPd2. The powder diffraction line list is computed, not measured: it uses a DFT-relaxed cell (PBE, the Materials Project) and Cu Kα.
Kinematic intensities with the Lorentz-polarization factor, no thermal factor.

Structural model:
Cell: 6.8264 6.8264 6.8264 Å, 90.00 90.00 90.00°
Fractional coordinates of all 16 atoms:
1 Tb 0.0000 0.0000 0.0000
2 Tb 0.0000 0.5000 0.5000
3 Tb 0.5000 0.0000 0.5000
4 Tb 0.5000 0.5000 0.0000
5 In 0.0000 0.0000 0.5000
6 In 0.0000 0.5000 0.0000
7 In 0.5000 0.0000 0.0000
8 In 0.5000 0.5000 0.5000
9 Pd 0.2500 0.2500 0.2500
10 Pd 0.2500 0.2500 0.7500
11 Pd 0.2500 0.7500 0.2500
12 Pd 0.2500 0.7500 0.7500
13 Pd 0.7500 0.2500 0.2500
14 Pd 0.7500 0.2500 0.7500
15 Pd 0.7500 0.7500 0.2500
16 Pd 0.7500 0.7500 0.7500

Principal peaks in the range 15 to 90 degrees two-theta, by angle:
- 3.941 Å, I = 2
- 3.413 Å, I = 2
- 2.414 Å, I = 100
- 2.058 Å, I = 1
- 1.707 Å, I = 17
- 1.526 Å, I = 1
- 1.393 Å, I = 35
- 1.207 Å, I = 11

***

(8)
Diffraction record for NaZrScO4. The powder diffraction line list is computed, not measured: it uses a DFT-relaxed cell (PBE, the Materials Project) and Cu Kα.
Kinematic intensities with the Lorentz-polarization factor, no thermal factor.

Structural model:
Cell: 3.2207 11.3739 9.6567 Å, 90.00 90.00 90.00°
Fractional coordinates of all 28 atoms:
1 Na 0.0000 0.0997 0.0000
2 Na 0.0000 0.9003 0.5000
3 Na 0.5000 0.3993 0.5118
4 Na 0.5000 0.6007 0.0118
5 Zr 0.0000 0.1386 0.3241
6 Zr 0.0000 0.3558 0.8362
7 Zr 0.0000 0.6442 0.3362
8 Zr 0.0000 0.8614 0.8241
9 Sc 0.5000 0.1428 0.6776
10 Sc 0.5000 0.3618 0.1876
11 Sc 0.5000 0.6382 0.6876
12 Sc 0.5000 0.8572 0.1776
13 O 0.0000 0.0323 0.7360
14 O 0.0000 0.2660 0.6430
15 O 0.0000 0.3227 0.3285
16 O 0.0000 0.4030 0.0487
17 O 0.0000 0.5970 0.5487
18 O 0.0000 0.6773 0.8285
19 O 0.0000 0.7340 0.1430
20 O 0.0000 0.9677 0.2360
21 O 0.5000 0.0956 0.4617
22 O 0.5000 0.1749 0.1827
23 O 0.5000 0.2337 0.8735
24 O 0.5000 0.4657 0.7768
25 O 0.5000 0.5343 0.2768
26 O 0.5000 0.7663 0.3735
27 O 0.5000 0.8251 0.6827
28 O 0.5000 0.9044 0.9617

Principal peaks in the range 15 to 90 degrees two-theta, by angle:
- 4.900 Å, I = 87
- 4.828 Å, I = 76
- 2.843 Å, I = 53
- 2.801 Å, I = 94
- 2.691 Å, I = 100
- 2.679 Å, I = 48
- 1.950 Å, I = 54
- 1.610 Å, I = 59

***

(9)
Diffraction record for NaCeO2. The powder diffraction line list is computed, not measured: it uses a DFT-relaxed cell (PBE, the Materials Project) and Cu Kα.
Kinematic intensities with the Lorentz-polarization factor, no thermal factor.

Structural model:
Cell: 4.7903 4.7903 10.9347 Å, 90.00 90.00 90.00°
Fractional coordinates of all 16 atoms:
1 Na 0.0000 0.2500 0.3750
2 Na 0.0000 0.7500 0.6250
3 Na 0.5000 0.2500 0.1250
4 Na 0.5000 0.7500 0.8750
5 Ce 0.0000 0.2500 0.8750
6 Ce 0.0000 0.7500 0.1250
7 Ce 0.5000 0.2500 0.6250
8 Ce 0.5000 0.7500 0.3750
9 O 0.0000 0.2500 0.0958
10 O 0.0000 0.2500 0.6542
11 O 0.0000 0.7500 0.3458
12 O 0.0000 0.7500 0.9042
13 O 0.5000 0.2500 0.4042
14 O 0.5000 0.2500 0.8458
15 O 0.5000 0.7500 0.1542
16 O 0.5000 0.7500 0.5958

Principal peaks in the range 15 to 90 degrees two-theta, by angle:
- 4.388 Å, I = 100
- 2.901 Å, I = 22
- 2.879 Å, I = 81
- 2.734 Å, I = 36
- 2.395 Å, I = 54
- 2.102 Å, I = 28
- 1.802 Å, I = 40
- 1.460 Å, I = 23